Record 1
Starting from a GGA-PBE-relaxed structure, the PXRD pattern of ScTe was calculated for Cu Kα.
Neutral-atom scattering factors, no anomalous dispersion.

Top 6 peaks for 2θ = 10–90°, sorted by position:
- (1 0 1), 27.99°, intensity 100
- (1 0 2), 36.00°, intensity 50
- (1 1 0), 43.68°, intensity 36
- (1 0 3), 46.72°, intensity 24
- (0 0 4), 52.71°, intensity 24
- (1 1 4), 70.80°, intensity 30

Crystal structure
Lattice parameters (Å, degrees): 4.144 4.144 6.939 90.00 90.00 120.00
Element x y z (fractional)
Sc 0.000 0.000 0.000
Sc 0.000 0.000 0.500
Te 0.333 0.667 0.250
Te 0.667 0.333 0.750

=====

Record 2
Starting from a GGA-PBE-relaxed structure, the PXRD pattern of ScTe was calculated for Cu Kα.
Neutral-atom scattering factors, no anomalous dispersion.

Top 6 peaks for 2θ = 10–90°, sorted by position:
- (0 0 4), 25.77°, intensity 27
- (1 0 2), 28.15°, intensity 100
- (1 0 3), 31.71°, intensity 64
- (1 0 5), 41.28°, intensity 23
- (1 1 0), 43.98°, intensity 50
- (1 0 6), 46.90°, intensity 29

Crystal structure
Lattice parameters (Å, degrees): 4.117 4.117 13.844 90.00 90.00 120.00
Element x y z (fractional)
Sc 0.333 0.667 0.117
Sc 0.333 0.667 0.383
Sc 0.667 0.333 0.617
Sc 0.667 0.333 0.883
Te 0.000 0.000 0.000
Te 0.000 0.000 0.500
Te 0.333 0.667 0.750
Te 0.667 0.333 0.250

=====

What did the first record say?
Starting from a GGA-PBE-relaxed structure, the PXRD pattern of ScTe was calculated for Cu Kα.
Neutral-atom scattering factors, no anomalous dispersion.

Top 6 peaks for 2θ = 10–90°, sorted by position:
- (1 0 1), 27.99°, intensity 100
- (1 0 2), 36.00°, intensity 50
- (1 1 0), 43.68°, intensity 36
- (1 0 3), 46.72°, intensity 24
- (0 0 4), 52.71°, intensity 24
- (1 1 4), 70.80°, intensity 30

Crystal structure
Lattice parameters (Å, degrees): 4.144 4.144 6.939 90.00 90.00 120.00
Element x y z (fractional)
Sc 0.000 0.000 0.000
Sc 0.000 0.000 0.500
Te 0.333 0.667 0.250
Te 0.667 0.333 0.750

=====

Q: Which formula does entry 1 have?
A: ScTe